Entry 1:
For Sr8Cu2Ag, a structure optimized by DFT (GGA-PBE) gives the calculated XRD peak list in this record (λ = 1.5418 Å (Cu Kα)).
Kinematic intensities with the Lorentz-polarization factor, no thermal factor.

Unit cell a=9.6017 b=9.6017 c=6.5851 alpha=90.00 beta=90.00 gamma=120.00
Space group P-3 (No. 147)
Symmetry-distinct sites (fractional):
Sr 0.1573 0.3163 0.2457
Sr 0.3333 0.6667 0.7495
Cu 0.3333 0.6667 0.2493
Ag 0.0000 0.0000 0.5000

Peak list (10 most intense, 10° ≤ 2θ ≤ 80°, sorted by position)
2θ = 17.18°, rel. 23; 2θ = 18.48°, rel. 28; 2θ = 21.37°, rel. 28; 2θ = 25.33°, rel. 100; 2θ = 27.08°, rel. 30; 2θ = 34.76°, rel. 50; 2θ = 37.47°, rel. 63; 2θ = 46.83°, rel. 56; 2θ = 60.56°, rel. 19; 2θ = 69.20°, rel. 20



Entry 2:
For SrYCuAg, a structure optimized by DFT (GGA-PBE) gives the calculated XRD peak list in this record (λ = 1.5418 Å (Cu Kα)).
Kinematic intensities with the Lorentz-polarization factor, no thermal factor.

Unit cell a=7.3916 b=7.3916 c=7.3916 alpha=90.00 beta=90.00 gamma=90.00
Space group F-43m (No. 216)
Symmetry-distinct sites (fractional):
Sr 0.0000 0.0000 0.0000
Y 0.0000 0.0000 0.5000
Cu 0.2500 0.2500 0.2500
Ag 0.2500 0.2500 0.7500

Peak list (9 most intense, 10° ≤ 2θ ≤ 80°, sorted by position)
2θ = 20.81°, rel. 3; 2θ = 34.31°, rel. 100; 2θ = 40.48°, rel. 2; 2θ = 49.31°, rel. 17; 2θ = 54.08°, rel. 1; 2θ = 61.45°, rel. 35; 2θ = 65.63°, rel. 1; 2θ = 72.31°, rel. 11; 2θ = 76.20°, rel. 1



Entry 3:
For Sr2ZnCuAg6, a structure optimized by DFT (GGA-PBE) gives the calculated XRD peak list in this record (λ = 1.5418 Å (Cu Kα)).
Kinematic intensities with the Lorentz-polarization factor, no thermal factor.

Unit cell a=5.6866 b=7.0984 c=7.1061 alpha=77.51 beta=66.56 gamma=66.75
Space group P-1 (No. 2)
Symmetry-distinct sites (fractional):
Sr 0.2459 0.2151 0.2956
Zn 0.0000 0.0000 0.0000
Cu 0.5000 0.5000 0.5000
Ag 0.2412 0.2595 0.7600
Ag 0.2488 0.6030 0.8945
Ag 0.2624 0.7395 0.2396

Peak list (10 most intense, 10° ≤ 2θ ≤ 80°, sorted by position)
2θ = 13.61°, rel. 67; 2θ = 27.10°, rel. 72; 2θ = 27.42°, rel. 79; 2θ = 36.70°, rel. 56; 2θ = 36.90°, rel. 55; 2θ = 37.55°, rel. 100; 2θ = 37.72°, rel. 100; 2θ = 39.08°, rel. 43; 2θ = 39.18°, rel. 43; 2θ = 44.99°, rel. 59